Structure and theoretical powder XRD pattern of Li2Cu4S3 (the GGA-PBE geometry in the Materials Project; Cu Kα).

Cell and atoms:
```
Li2Cu4S3
1.0
8.4530 0.0000 0.0000
0.0000 10.7725 0.0000
0.0000 0.0000 6.3625
Li Cu S
8 16 12
direct
0.0000 0.0000 0.0000
0.0000 0.5000 0.0000
0.0251 0.2500 0.3897
0.4749 0.7500 0.8897
0.5000 0.0000 0.5000
0.5000 0.5000 0.5000
0.5251 0.2500 0.1103
0.9749 0.7500 0.6103
0.1407 0.2500 0.0139
0.1628 0.7500 0.9398
0.1699 0.5852 0.3724
0.1699 0.9148 0.3724
0.3301 0.0852 0.8724
0.3301 0.4148 0.8724
0.3372 0.2500 0.4398
0.3593 0.7500 0.5139
0.6407 0.2500 0.4861
0.6628 0.7500 0.5602
0.6699 0.5852 0.1276
0.6699 0.9148 0.1276
0.8301 0.0852 0.6276
0.8301 0.4148 0.6276
0.8372 0.2500 0.0602
0.8593 0.7500 0.9861
0.0373 0.7500 0.2453
0.2488 0.5913 0.7226
0.2488 0.9087 0.7226
0.2512 0.0913 0.2226
0.2512 0.4087 0.2226
0.4627 0.2500 0.7453
0.5373 0.7500 0.2547
0.7488 0.5913 0.7774
0.7488 0.9087 0.7774
0.7512 0.0913 0.2774
0.7512 0.4087 0.2774
0.9627 0.2500 0.7547
```

Main lines, most intense first (2θ from 10° to 90°):
2theta, d/Å, intensity, h k l
38.74, 2.324, 100, 3 2 1
24.07, 3.697, 92, 1 2 1
21.02, 4.227, 84, 2 0 0
32.71, 2.738, 60, 2 3 0
30.48, 2.933, 58, 1 3 1
30.01, 2.977, 53, 1 0 2
49.94, 1.826, 50, 0 3 3
48.93, 1.862, 47, 3 4 1
50.86, 1.795, 46, 0 6 0
19.31, 4.597, 42, 1 1 1